1.
The following is a computed powder XRD pattern of Nb4VGa3. It was derived from a cell relaxed with PBE, using Cu Ka.
Intensities are scaled so that the largest is 1000.

Peak list (6 most intense, 10 to 90 degrees two-theta, sorted by position)
d 2.512, 35.7 deg, I = 286
d 2.473, 36.3 deg, I = 670
d 2.290, 39.3 deg, I = 538
d 2.255, 40.0 deg, I = 341
d 2.227, 40.5 deg, I = 1000
d 2.064, 43.9 deg, I = 338

Crystal structure
Cell: 7.6653 7.6653 7.6653 Å, 96.17 96.17 141.74°
Element x y z (fractional)
Nb1 0.0791 0.7767 0.8558
Nb2 0.2233 0.0791 0.3024
Nb3 0.2767 0.5791 0.8558
Nb4 0.4209 0.2767 0.6976
Nb5 0.5791 0.7233 0.3024
Nb6 0.7233 0.4209 0.1442
Nb7 0.7767 0.9209 0.6976
Nb8 0.9209 0.2233 0.1442
V1 0.2500 0.7500 0.5000
V2 0.7500 0.2500 0.5000
Ga1 0.1582 0.3418 0.5000
Ga2 0.2500 0.2500 0.0000
Ga3 0.3418 0.8418 0.1837
Ga4 0.6582 0.1582 0.8163
Ga5 0.7500 0.7500 0.0000
Ga6 0.8418 0.6582 0.5000



2.
The following is a computed powder XRD pattern of Tl5Au4. It was derived from a cell relaxed with PBE, using Cu Ka.
Intensities are scaled so that the largest is 1000.

Peak list (6 most intense, 10 to 90 degrees two-theta, sorted by position)
d 2.662, 33.7 deg, I = 1000
d 2.477, 36.3 deg, I = 213
d 2.231, 40.4 deg, I = 296
d 1.658, 55.4 deg, I = 266
d 1.463, 63.6 deg, I = 164
d 1.357, 69.2 deg, I = 223

Crystal structure
Cell: 7.1379 7.1379 7.1379 Å, 96.92 96.92 139.39°
Element x y z (fractional)
Tl1 0.0000 0.0000 0.0000
Tl2 0.3254 0.3254 0.6508
Tl3 0.3254 0.6746 0.0000
Tl4 0.6746 0.3254 0.0000
Tl5 0.6746 0.6746 0.3492
Au1 0.0000 0.3508 0.3508
Au2 0.0000 0.6492 0.6492
Au3 0.3508 0.0000 0.3508
Au4 0.6492 0.0000 0.6492



3.
The following is a computed powder XRD pattern of Pm7Ho12Er. It was derived from a cell relaxed with PBE, using Cu Ka.
Intensities are scaled so that the largest is 1000.

Peak list (6 most intense, 10 to 90 degrees two-theta, sorted by position)
d 3.092, 28.9 deg, I = 275
d 2.905, 30.8 deg, I = 434
d 2.823, 31.7 deg, I = 1000
d 2.812, 31.8 deg, I = 486
d 2.702, 33.2 deg, I = 628
d 1.656, 55.5 deg, I = 259

Crystal structure
Cell: 8.7551 8.7551 8.7551 Å, 85.94 85.94 85.94°
Element x y z (fractional)
Pm1 0.0000 0.0000 0.0000
Pm2 0.1014 0.4219 0.3456
Pm3 0.3456 0.1014 0.4219
Pm4 0.4219 0.3456 0.1014
Pm5 0.5781 0.6544 0.8986
Pm6 0.6544 0.8986 0.5781
Pm7 0.8986 0.5781 0.6544
Ho1 0.0030 0.8832 0.3653
Ho2 0.1168 0.6347 0.9970
Ho3 0.2282 0.3541 0.7527
Ho4 0.2473 0.7718 0.6459
Ho5 0.3541 0.7527 0.2282
Ho6 0.3653 0.0030 0.8832
Ho7 0.6347 0.9970 0.1168
Ho8 0.6459 0.2473 0.7718
Ho9 0.7527 0.2282 0.3541
Ho10 0.7718 0.6459 0.2473
Ho11 0.8832 0.3653 0.0030
Ho12 0.9970 0.1168 0.6347
Er1 0.5000 0.5000 0.5000



4.
The following is a computed powder XRD pattern of NaNdTe2Au. It was derived from a cell relaxed with PBE, using Cu Ka.
Intensities are scaled so that the largest is 1000.

Peak list (6 most intense, 10 to 90 degrees two-theta, sorted by position)
d 7.781, 11.4 deg, I = 1000
d 4.139, 21.5 deg, I = 279
d 3.614, 24.6 deg, I = 279
d 3.032, 29.5 deg, I = 492
d 2.837, 31.5 deg, I = 517
d 2.577, 34.8 deg, I = 421

Crystal structure
Cell: 7.8423 4.9040 8.3407 Å, 90.00 97.16 90.00°
Element x y z (fractional)
Na1 0.0000 0.1357 0.2500
Na2 0.0000 0.8643 0.7500
Nd1 0.5000 0.4956 0.7500
Nd2 0.5000 0.5044 0.2500
Te1 0.2114 0.3219 0.9697
Te2 0.2114 0.6781 0.4697
Te3 0.7886 0.3219 0.5303
Te4 0.7886 0.6781 0.0303
Au1 0.5000 0.0000 0.0000
Au2 0.5000 0.0000 0.5000